For KPH3O4F, a structure optimized by DFT (GGA-PBE) gives the theoretical powder XRD pattern in this record (CuKα).
Kinematic intensities with the Lorentz-polarization factor, no thermal factor.

Top 10 peaks for 2θ from 15° to 90°, in order of rising 2θ:
- 21.6 deg, I 100, hkl 1 2 -1
- 25.9 deg, I 48, hkl 1 1 1
- 28.7 deg, I 28, hkl 0 1 2
- 28.8 deg, I 34, hkl 1 2 1
- 29.1 deg, I 28, hkl 0 4 0
- 32.4 deg, I 38, hkl 2 0 -2
- 33.2 deg, I 23, hkl 1 3 1
- 38.6 deg, I 16, hkl 2 3 0
- 39.0 deg, I 17, hkl 1 1 -3
- 46.6 deg, I 14, hkl 0 5 2

Atomic structure:
```
KPH3O4F
1.0
6.223 0.000 0.000
0.000 12.272 0.000
-2.893 0.000 6.431
K P H O F
4 4 12 16 4
Direct
0.147 0.132 0.383
0.147 0.368 0.883
0.853 0.632 0.117
0.853 0.868 0.617
0.346 0.639 0.593
0.346 0.861 0.093
0.654 0.139 0.907
0.654 0.361 0.407
0.034 0.615 0.715
0.034 0.885 0.215
0.447 0.708 0.279
0.447 0.792 0.779
0.469 0.520 0.312
0.469 0.980 0.812
0.531 0.020 0.188
0.531 0.480 0.688
0.553 0.208 0.221
0.553 0.292 0.721
0.966 0.115 0.785
0.966 0.385 0.285
0.097 0.663 0.573
0.097 0.837 0.073
0.364 0.620 0.385
0.364 0.880 0.885
0.445 0.536 0.740
0.445 0.964 0.240
0.484 0.238 0.793
0.484 0.262 0.293
0.516 0.738 0.707
0.516 0.762 0.207
0.555 0.036 0.760
0.555 0.464 0.260
0.636 0.120 0.115
0.636 0.380 0.615
0.903 0.163 0.927
0.903 0.337 0.427
0.012 0.077 0.674
0.012 0.423 0.174
0.988 0.577 0.826
0.988 0.923 0.326
```